# Nb2Te4Pb
Simulated PXRD pattern, Cu Ka. Input: DFT lattice parameters and positions (GGA-PBE).
Neutral-atom scattering factors, no anomalous dispersion.

Largest 10 diffraction maxima, in order of rising 2θ, 10 to 80 degrees two-theta:
20.16°, d = 4.404 Å, I 54
24.26°, d = 3.668 Å, I 76
25.01°, d = 3.561 Å, I 44
29.52°, d = 3.026 Å, I 43
31.35°, d = 2.853 Å, I 26
36.53°, d = 2.460 Å, I 47
38.57°, d = 2.334 Å, I 63
40.99°, d = 2.202 Å, I 100
42.23°, d = 2.140 Å, I 54
76.37°, d = 1.247 Å, I 26

Atomic structure:
a b c (Å): 8.824 8.824 8.824
angles (deg): 121.97 121.97 86.62
Fractional positions:
Nb 0.000 0.000 0.000
Nb 0.000 0.000 0.500
Nb 0.000 0.500 0.000
Nb 0.500 0.000 0.500
Te 0.198 0.224 0.973
Te 0.224 0.198 0.473
Te 0.224 0.751 0.027
Te 0.249 0.776 0.473
Te 0.751 0.224 0.527
Te 0.776 0.249 0.973
Te 0.776 0.802 0.527
Te 0.802 0.776 0.027
Pb 0.375 0.625 0.750
Pb 0.625 0.375 0.250



# Tl14Cd2Se9
Simulated PXRD pattern, Cu Ka. Input: DFT lattice parameters and positions (GGA-PBE).
Neutral-atom scattering factors, no anomalous dispersion.

Largest 10 diffraction maxima, in order of rising 2θ, 10 to 80 degrees two-theta:
23.73°, d = 3.749 Å, I 20
24.79°, d = 3.591 Å, I 100
29.23°, d = 3.055 Å, I 34
30.31°, d = 2.948 Å, I 48
33.25°, d = 2.695 Å, I 59
33.38°, d = 2.685 Å, I 16
37.34°, d = 2.408 Å, I 41
37.99°, d = 2.368 Å, I 26
43.75°, d = 2.069 Å, I 18
57.76°, d = 1.596 Å, I 18

Atomic structure:
a b c (Å): 9.334 9.334 11.247
angles (deg): 90.00 90.00 120.00
Fractional positions:
Tl 0.000 0.000 0.212
Tl 0.000 0.000 0.788
Tl 0.007 0.668 0.403
Tl 0.092 0.424 0.131
Tl 0.332 0.339 0.403
Tl 0.332 0.908 0.131
Tl 0.339 0.007 0.597
Tl 0.424 0.332 0.869
Tl 0.576 0.668 0.131
Tl 0.661 0.993 0.403
Tl 0.668 0.092 0.869
Tl 0.668 0.661 0.597
Tl 0.908 0.576 0.869
Tl 0.993 0.332 0.597
Cd 0.333 0.667 0.780
Cd 0.667 0.333 0.220
Se 0.000 0.000 0.500
Se 0.107 0.368 0.868
Se 0.261 0.893 0.868
Se 0.333 0.667 0.540
Se 0.368 0.261 0.132
Se 0.632 0.739 0.868
Se 0.667 0.333 0.460
Se 0.739 0.107 0.132
Se 0.893 0.632 0.132



# Dy4ScP5
Simulated PXRD pattern, Cu Ka. Input: DFT lattice parameters and positions (GGA-PBE).
Neutral-atom scattering factors, no anomalous dispersion.

Largest 10 diffraction maxima, in order of rising 2θ, 10 to 80 degrees two-theta:
18.72°, d = 4.741 Å, I 9
27.57°, d = 3.235 Å, I 79
31.94°, d = 2.802 Å, I 100
45.80°, d = 1.981 Å, I 73
54.22°, d = 1.692 Å, I 13
54.34°, d = 1.688 Å, I 25
56.93°, d = 1.618 Å, I 25
73.70°, d = 1.286 Å, I 15
75.83°, d = 1.255 Å, I 11
76.00°, d = 1.252 Å, I 21

Atomic structure:
a b c (Å): 6.860 6.860 6.860
angles (deg): 99.64 99.64 131.70
Fractional positions:
Dy 0.098 0.300 0.398
Dy 0.300 0.902 0.202
Dy 0.700 0.098 0.798
Dy 0.902 0.700 0.602
Sc 0.500 0.500 0.000
P 0.000 0.000 0.000
P 0.207 0.598 0.805
P 0.402 0.207 0.610
P 0.598 0.793 0.390
P 0.793 0.402 0.195



# TaMo
Simulated PXRD pattern, Cu Ka. Input: DFT lattice parameters and positions (GGA-PBE).
Neutral-atom scattering factors, no anomalous dispersion.

Largest 10 diffraction maxima, in order of rising 2θ, 10 to 80 degrees two-theta:
33.30°, d = 2.690 Å, I 10
39.34°, d = 2.290 Å, I 100
39.52°, d = 2.280 Å, I 50
40.63°, d = 2.220 Å, I 3
56.59°, d = 1.626 Å, I 8
57.13°, d = 1.612 Å, I 17
62.65°, d = 1.483 Å, I 3
67.76°, d = 1.383 Å, I 3
71.21°, d = 1.324 Å, I 16
71.57°, d = 1.318 Å, I 34

Atomic structure:
a b c (Å): 3.225 3.225 9.759
angles (deg): 90.00 90.00 90.00
Fractional positions:
Ta 0.000 0.000 0.000
Ta 0.500 0.500 0.176
Ta 0.500 0.500 0.824
Mo 0.000 0.000 0.340
Mo 0.000 0.000 0.660
Mo 0.500 0.500 0.500



# GaAgGeIr2
Simulated PXRD pattern, Cu Ka. Input: DFT lattice parameters and positions (GGA-PBE).
Neutral-atom scattering factors, no anomalous dispersion.

Largest 10 diffraction maxima, in order of rising 2θ, 10 to 80 degrees two-theta:
17.91°, d = 4.952 Å, I 17
19.44°, d = 4.567 Å, I 58
32.21°, d = 2.779 Å, I 100
36.28°, d = 2.476 Å, I 87
39.46°, d = 2.284 Å, I 35
41.49°, d = 2.177 Å, I 34
52.25°, d = 1.751 Å, I 30
54.68°, d = 1.679 Å, I 53
62.72°, d = 1.481 Å, I 30
67.40°, d = 1.389 Å, I 28

Atomic structure:
a b c (Å): 4.952 4.952 4.567
angles (deg): 90.00 90.00 90.00
Fractional positions:
Ga 0.000 0.000 0.000
Ag 0.500 0.500 0.500
Ge 0.500 0.500 0.000
Ir 0.000 0.500 0.500
Ir 0.500 0.000 0.500



# Mg6InIr5
Simulated PXRD pattern, Cu Ka. Input: DFT lattice parameters and positions (GGA-PBE).
Neutral-atom scattering factors, no anomalous dispersion.

Largest 10 diffraction maxima, in order of rising 2θ, 10 to 80 degrees two-theta:
23.67°, d = 3.759 Å, I 100
30.05°, d = 2.974 Å, I 55
30.33°, d = 2.947 Å, I 41
38.61°, d = 2.332 Å, I 98
38.75°, d = 2.324 Å, I 43
38.91°, d = 2.315 Å, I 37
43.22°, d = 2.093 Å, I 60
48.44°, d = 1.879 Å, I 24
49.80°, d = 1.831 Å, I 25
58.08°, d = 1.588 Å, I 27

Atomic structure:
a b c (Å): 4.767 5.948 7.004
angles (deg): 90.00 95.51 90.00
Fractional positions:
Mg 0.000 0.237 0.000
Mg 0.000 0.763 0.000
Mg 0.282 0.242 0.638
Mg 0.282 0.758 0.638
Mg 0.718 0.242 0.362
Mg 0.718 0.758 0.362
In 0.500 0.500 0.000
Ir 0.186 0.500 0.316
Ir 0.221 0.000 0.304
Ir 0.500 0.000 0.000
Ir 0.779 0.000 0.696
Ir 0.814 0.500 0.684



# LaSbBr2
Simulated PXRD pattern, Cu Ka. Input: DFT lattice parameters and positions (GGA-PBE).
Neutral-atom scattering factors, no anomalous dispersion.

Largest 10 diffraction maxima, in order of rising 2θ, 10 to 80 degrees two-theta:
26.82°, d = 3.324 Å, I 100
27.91°, d = 3.196 Å, I 41
33.81°, d = 2.651 Å, I 20
35.24°, d = 2.546 Å, I 31
35.80°, d = 2.509 Å, I 39
37.78°, d = 2.381 Å, I 39
38.42°, d = 2.343 Å, I 57
49.53°, d = 1.840 Å, I 16
53.53°, d = 1.712 Å, I 21
59.02°, d = 1.565 Å, I 16

Atomic structure:
a b c (Å): 4.704 5.017 5.621
angles (deg): 90.00 109.36 90.00
Fractional positions:
La 0.000 0.000 0.000
Sb 0.578 0.500 0.139
Br 0.241 0.000 0.562
Br 0.762 0.500 0.665



# ThPd
Simulated PXRD pattern, Cu Ka. Input: DFT lattice parameters and positions (GGA-PBE).
Neutral-atom scattering factors, no anomalous dispersion.

Largest 10 diffraction maxima, in order of rising 2θ, 10 to 80 degrees two-theta:
27.49°, d = 3.245 Å, I 63
31.28°, d = 2.860 Å, I 100
32.97°, d = 2.717 Å, I 85
34.91°, d = 2.570 Å, I 94
38.45°, d = 2.341 Å, I 80
39.05°, d = 2.307 Å, I 57
40.18°, d = 2.244 Å, I 31
52.01°, d = 1.758 Å, I 48
52.60°, d = 1.740 Å, I 27
67.42°, d = 1.389 Å, I 26

Atomic structure:
a b c (Å): 7.290 4.613 5.855
angles (deg): 90.00 90.00 90.00
Fractional positions:
Th 0.180 0.250 0.139
Th 0.320 0.750 0.639
Th 0.680 0.250 0.361
Th 0.820 0.750 0.861
Pd 0.046 0.250 0.649
Pd 0.454 0.750 0.149
Pd 0.546 0.250 0.851
Pd 0.954 0.750 0.351